Structure and calculated powder diffractogram of Pm8Te2Ru3 (a crystal structure in Alexandria, relaxed with GGA-PBE; Cu Kα).
No peak broadening, texture or thermal motion is included.

Structure:
```
13
Lattice="9.2184 0.0000 0.0000 0.0000 4.9398 0.0000 -3.8164 0.0000 8.4005" Properties=species:S:1:pos:R:3 pbc="T T T"
Pm -0.5285 0.0000 3.3103
Pm -1.9378 2.4699 7.2522
Pm 0.8715 2.4699 5.4378
Pm 3.1715 0.0000 0.9283
Pm 2.2305 0.0000 7.4723
Pm 4.5304 2.4699 2.9627
Pm 7.3398 2.4699 1.1483
Pm 5.9304 0.0000 5.0902
Te 1.2629 2.4699 2.1613
Te 4.1391 2.4699 6.2393
Ru -0.5468 0.0000 6.3216
Ru 4.6092 2.4699 0.0000
Ru 5.9488 0.0000 2.0789
```

Largest 6 diffraction maxima, most intense first, 2θ from 10° to 80°:
34.5°, I 100
36.0°, I 25
36.4°, I 25
52.1°, I 17
64.2°, I 16
25.4°, I 16

***

Structure and calculated powder diffractogram of CaY2Si (a crystal structure in Alexandria, relaxed with GGA-PBE; Cu Kα).
No peak broadening, texture or thermal motion is included.

Structure:
```
4
Lattice="2.0155 1.1637 9.7340 -2.0155 1.1637 9.7340 0.0000 -2.3273 9.7340" Properties=species:S:1:pos:R:3 pbc="T T T"
Ca 0.0000 0.0000 0.0000
Y 0.0000 0.0000 6.4456
Y 0.0000 0.0000 22.7563
Si 0.0000 0.0000 14.6010
```

Largest 6 diffraction maxima, most intense first, 2θ from 10° to 80°:
28.3°, I 100
29.8°, I 51
45.0°, I 40
33.5°, I 39
27.5°, I 32
53.5°, I 28

***

Structure and calculated powder diffractogram of Er3Te5H (a crystal structure in Alexandria, relaxed with GGA-PBE; Cu Kα).
No peak broadening, texture or thermal motion is included.

Structure:
```
18
Lattice="6.6633 -5.0089 0.0000 6.6633 5.0089 0.0000 -2.8281 0.0000 8.6369" Properties=species:S:1:pos:R:3 pbc="T T T"
Er 0.0000 0.0000 0.0000
Er -1.4141 0.0000 4.3185
Er 2.3269 0.0000 3.4824
Er 2.0358 0.0000 7.2298
Er 8.4626 0.0000 1.4071
Er 8.1715 0.0000 5.1545
Te 3.2149 3.0775 3.2506
Te 2.8176 0.0000 0.5836
Te 6.6633 1.9618 0.0000
Te 7.2835 3.0775 5.3863
Te 5.6577 0.0000 2.9820
Te 4.8407 0.0000 5.6549
Te 3.2149 -3.0775 3.2506
Te 6.6633 -1.9618 0.0000
Te 7.6808 0.0000 8.0533
Te 7.2835 -3.0775 5.3863
H 0.1154 0.0000 2.4905
H 10.3830 0.0000 6.1464
```

Largest 6 diffraction maxima, most intense first, 2θ from 10° to 80°:
17.7°, I 100
36.0°, I 96
26.7°, I 86
33.0°, I 84
21.0°, I 84
40.2°, I 64